(1)
This entry pairs a crystal structure of Li3Be4Au9 with its computed powder diffraction line list. Radiation: Cu Kα (weighted mean of Kα1 and Kα2). Structure: a crystal structure in Alexandria, relaxed with GGA-PBE.
Intensities are scaled so that the largest is 100.

Main lines, low angle first (2θ = 10–90°):
Position (°2θ)	Rel. int.
17.75	34
24.69	33
28.09	85
33.43	100
33.79	67
37.74	41
42.20	75
44.21	32
44.50	50
61.24	30

Structure:
```
Li3Be4Au9
1.0
3.1764 1.8339 7.9586
-3.1764 1.8339 7.9586
0.0000 -3.6678 7.9586
Li Be Au
3 4 9
direct
0.0000 0.0000 0.0000
0.1565 0.1565 0.1565
0.5718 0.5718 0.5718
0.2972 0.2972 0.2972
0.3925 0.3925 0.3925
0.7510 0.7510 0.7510
0.8430 0.8430 0.8430
0.0152 0.1190 0.5894
0.1190 0.5894 0.0152
0.1735 0.5632 0.6630
0.4854 0.5742 0.9722
0.5632 0.6630 0.1735
0.5742 0.9722 0.4854
0.5894 0.0152 0.1190
0.6631 0.1735 0.5632
0.9722 0.4854 0.5742
```


(2)
This entry pairs a crystal structure of La14AlSn with its computed powder diffraction line list. Radiation: Cu Kα (weighted mean of Kα1 and Kα2). Structure: a crystal structure in Alexandria, relaxed with GGA-PBE.
Intensities are scaled so that the largest is 100.

Main lines, low angle first (2θ = 10–90°):
Position (°2θ)	Rel. int.
30.16	100
34.12	17
35.38	33
49.97	24
50.90	12
58.64	14
60.31	28
62.71	12
81.31	11
82.74	10

Structure:
```
La14AlSn
1.0
7.1758 0.0000 0.0000
0.0000 7.1758 0.0000
0.0000 0.0000 10.5112
La Al Sn
14 1 1
direct
0.0000 0.0000 0.0000
0.0000 0.5000 0.0000
0.0000 0.5000 0.5000
0.2479 0.2479 0.2623
0.2479 0.2479 0.7377
0.2479 0.7521 0.2623
0.2479 0.7521 0.7377
0.5000 0.0000 0.0000
0.5000 0.0000 0.5000
0.5000 0.5000 0.0000
0.7521 0.2479 0.2623
0.7521 0.2479 0.7377
0.7521 0.7521 0.2623
0.7521 0.7521 0.7377
0.0000 0.0000 0.5000
0.5000 0.5000 0.5000
```


(3)
This entry pairs a crystal structure of CsCaZnTe with its computed powder diffraction line list. Radiation: Cu Kα (weighted mean of Kα1 and Kα2). Structure: a crystal structure in Alexandria, relaxed with GGA-PBE.
Intensities are scaled so that the largest is 100.

Main lines, low angle first (2θ = 10–90°):
Position (°2θ)	Rel. int.
11.20	55
19.47	39
23.09	46
25.22	64
28.15	100
30.37	65
32.47	54
37.79	31
39.84	26
49.16	25

Structure:
```
CsCaZnTe
1.0
4.7607 0.0000 0.0000
0.0000 4.4120 0.0000
-2.3513 0.0000 7.8999
Cs Ca Zn Te
1 1 1 1
direct
0.0000 0.0000 0.0000
0.2508 0.5000 0.5077
0.7560 0.0000 0.5187
0.6255 0.5000 0.2542
```


(4)
This entry pairs a crystal structure of CsKIn4 with its computed powder diffraction line list. Radiation: Cu Kα (weighted mean of Kα1 and Kα2). Structure: a crystal structure in Alexandria, relaxed with GGA-PBE.
Intensities are scaled so that the largest is 100.

Main lines, low angle first (2θ = 10–90°):
Position (°2θ)	Rel. int.
17.04	61
24.62	22
25.06	100
31.42	59
31.62	56
33.22	33
34.41	23
34.51	23
38.52	25
45.18	43

Structure:
```
CsKIn4
1.0
14.3778 0.0000 0.0000
0.0000 6.3068 0.0000
-2.2060 0.0000 5.2121
Cs K In
2 2 8
direct
0.0000 0.0000 0.0000
0.5000 0.5000 0.0000
0.2911 0.5000 0.2904
0.7911 0.0000 0.2904
0.1489 0.2597 0.6488
0.1489 0.7403 0.6488
0.3381 0.0000 0.8395
0.4506 0.0000 0.4498
0.6489 0.2403 0.6488
0.6489 0.7597 0.6488
0.8381 0.5000 0.8395
0.9506 0.5000 0.4498
```


(5)
This entry pairs a crystal structure of CuReO6 with its computed powder diffraction line list. Radiation: Cu Kα (weighted mean of Kα1 and Kα2). Structure: a crystal structure in Alexandria, relaxed with GGA-PBE.
Intensities are scaled so that the largest is 100.

Main lines, low angle first (2θ = 10–90°):
Position (°2θ)	Rel. int.
20.04	31
23.18	100
33.01	47
38.92	16
40.72	9
47.38	21
53.38	39
58.95	19
69.25	12
74.12	18

Structure:
```
CuReO6
1.0
0.0000 3.8376 3.8376
3.8376 0.0000 3.8376
3.8376 3.8376 0.0000
Cu Re O
1 1 6
direct
0.0000 0.0000 0.0000
0.5000 0.5000 0.5000
0.2568 0.2568 0.7432
0.2568 0.7432 0.2568
0.2568 0.7432 0.7432
0.7432 0.2568 0.2568
0.7432 0.2568 0.7432
0.7432 0.7432 0.2568
```


(6)
This entry pairs a crystal structure of Ac7Pm4Nd with its computed powder diffraction line list. Radiation: Cu Kα (weighted mean of Kα1 and Kα2). Structure: a crystal structure in Alexandria, relaxed with GGA-PBE.
Intensities are scaled so that the largest is 100.

Main lines, low angle first (2θ = 10–90°):
Position (°2θ)	Rel. int.
26.79	40
28.61	74
29.47	100
29.56	49
30.90	45
31.02	43
31.20	43
46.80	39
53.08	20
55.74	24

Structure:
```
Ac7Pm4Nd
1.0
6.7362 0.0000 0.0000
0.0120 7.7242 0.0000
2.2085 0.0565 9.3613
Ac Pm Nd
7 4 1
direct
0.0000 0.0000 0.0000
0.2202 0.4999 0.3321
0.2823 0.7553 0.6626
0.4972 0.2481 0.9952
0.5028 0.7519 0.0048
0.7177 0.2447 0.3374
0.7798 0.5001 0.6679
0.2174 0.0003 0.3348
0.2738 0.2476 0.6680
0.7262 0.7524 0.3320
0.7826 0.9997 0.6652
0.0000 0.5000 0.0000
```


(7)
This entry pairs a crystal structure of Mg2InH with its computed powder diffraction line list. Radiation: Cu Kα (weighted mean of Kα1 and Kα2). Structure: a crystal structure in Alexandria, relaxed with GGA-PBE.
Intensities are scaled so that the largest is 100.

Main lines, low angle first (2θ = 10–90°):
Position (°2θ)	Rel. int.
13.12	68
26.42	14
28.18	47
33.98	100
38.61	17
39.60	16
40.09	15
56.50	11
56.88	11
66.92	13

Structure:
```
Mg2InH
1.0
7.1137 0.0000 0.0000
0.0000 4.6633 0.0000
-1.4425 0.0000 4.3177
Mg In H
4 2 2
direct
0.1719 0.2469 0.0857
0.1719 0.7531 0.5857
0.8281 0.2469 0.4143
0.8281 0.7531 0.9143
0.5000 0.2546 0.7500
0.5000 0.7454 0.2500
0.0000 0.4989 0.7500
0.0000 0.5011 0.2500
```


(8)
This entry pairs a crystal structure of Nd4Tl2N with its computed powder diffraction line list. Radiation: Cu Kα (weighted mean of Kα1 and Kα2). Structure: a crystal structure in Alexandria, relaxed with GGA-PBE.
Intensities are scaled so that the largest is 100.

Main lines, low angle first (2θ = 10–90°):
Position (°2θ)	Rel. int.
27.99	69
30.99	68
31.34	100
32.59	67
32.76	91
33.39	47
39.68	30
40.73	33
49.50	32
59.33	33

Structure:
```
Nd4Tl2N
1.0
6.5752 0.0000 0.0000
0.0000 3.6831 0.0000
-2.0972 0.0000 8.1978
Nd Tl N
4 2 1
direct
0.1434 0.0000 0.3136
0.2355 0.5000 0.9724
0.7645 0.5000 0.0276
0.8566 0.0000 0.6864
0.4005 0.5000 0.6544
0.5995 0.5000 0.3456
0.0000 0.0000 0.0000
```